No. 1
Starting from the GGA-PBE geometry in Alexandria, the X-ray diffraction stick pattern of CaPa3Se8 was simulated for copper Kα.
Peak positions follow from Bragg's law for the DFT cell and can differ from measured ones.

Largest 10 diffraction maxima, sorted by position, 2θ = 15–90°:
hkl	2θ/deg	Rel. int.
1 1 2	25.27	18
2 0 1	25.40	41
2 0 2	28.12	61
2 0 3	32.18	81
2 0 4	37.20	25
2 2 0	42.96	100
2 2 2	45.36	32
4 0 3	54.72	18
2 2 8	74.00	20
6 0 0	78.78	24

Crystal structure
Lattice parameters (Å, degrees): 8.4129 8.4129 12.9199 90.00 90.00 120.00
Space group P6_3mc (No. 186)
Asymmetric unit:
Ca1 0.3333 0.6667 0.0000 x2
Pa1 0.1673 0.3345 0.7307 x6
Se1 0.0000 0.0000 0.3456 x2
Se2 0.0231 0.5116 0.8478 x6
Se3 0.1566 0.3131 0.1156 x6
Se4 0.3333 0.6667 0.6124 x2



No. 2
Starting from the GGA-PBE geometry in Alexandria, the X-ray diffraction stick pattern of BrO2 was simulated for copper Kα.
Peak positions follow from Bragg's law for the DFT cell and can differ from measured ones.

Largest 10 diffraction maxima, sorted by position, 2θ = 15–90°:
hkl	2θ/deg	Rel. int.
0 1 0	16.25	63
0 1 -1	17.01	67
1 0 0	24.50	98
1 -1 0	24.62	59
0 1 1	26.77	100
0 1 -2	28.18	41
-1 1 1	29.06	31
1 -2 1	34.51	33
1 1 -2	35.22	39
1 1 1	42.96	42

Crystal structure
Lattice parameters (Å, degrees): 3.902 6.191 6.476 111.24 99.95 103.68
Space group P1 (No. 1)
Asymmetric unit:
Br1 0.000 0.000 0.000 x1
Br2 0.034 0.314 0.595 x1
O1 0.222 0.127 0.679 x1
O2 0.336 0.475 0.508 x1
O3 0.783 0.882 0.234 x1
O4 0.967 0.793 0.339 x1